Sr2SmReN4: computed powder XRD pattern (a wavelength of 1.5418 Å), based on a crystal structure in Alexandria, relaxed with GGA-PBE.

a = 7.7091 Å, b = 7.0797 Å, c = 5.6450 Å
α = 90.00°, β = 90.00°, γ = 90.00°
Fractional positions:
1 Sr 0.2467 0.1576 0.0000
2 Sr 0.2533 0.8424 0.5000
3 Sr 0.7467 0.8424 0.5000
4 Sr 0.7533 0.1576 0.0000
5 Sm 0.0000 0.6559 0.0136
6 Sm 0.5000 0.3441 0.5136
7 Re 0.0000 0.3459 0.5424
8 Re 0.5000 0.6541 0.0424
9 N 0.0000 0.3574 0.8709
10 N 0.0000 0.5969 0.4328
11 N 0.2067 0.2195 0.4687
12 N 0.2933 0.7805 0.9687
13 N 0.5000 0.4031 0.9328
14 N 0.5000 0.6426 0.3709
15 N 0.7067 0.7805 0.9687
16 N 0.7933 0.2195 0.4687

Principal peaks in the range 2θ from 15° to 90°, sorted by position:
| 2theta | I/Imax |
| --- | --- |
| 20.12 | 20.5 |
| 26.33 | 48.7 |
| 29.79 | 71.1 |
| 30.80 | 100.0 |
| 31.70 | 43.0 |
| 41.66 | 23.8 |
| 45.04 | 32.6 |
| 55.90 | 19.8 |
| 56.13 | 30.1 |
| 56.78 | 24.3 |

=====

SrSm2ReN4: computed powder XRD pattern (a wavelength of 1.5418 Å), based on a crystal structure in Alexandria, relaxed with GGA-PBE.

a = 6.4287 Å, b = 6.4287 Å, c = 12.4011 Å
α = 90.00°, β = 90.00°, γ = 148.30°
Fractional positions:
1 Sr 0.0638 0.9362 0.7500
2 Sr 0.9362 0.0638 0.2500
3 Sm 0.3710 0.6290 0.5408
4 Sm 0.3710 0.6290 0.9592
5 Sm 0.6290 0.3710 0.0408
6 Sm 0.6290 0.3710 0.4592
7 Re 0.1912 0.8088 0.2500
8 Re 0.8088 0.1912 0.7500
9 N 0.0000 0.0000 0.0000
10 N 0.0000 0.0000 0.5000
11 N 0.2608 0.7392 0.1162
12 N 0.2608 0.7392 0.3838
13 N 0.3972 0.6028 0.7500
14 N 0.6028 0.3972 0.2500
15 N 0.7392 0.2608 0.6162
16 N 0.7392 0.2608 0.8838

Principal peaks in the range 2θ from 15° to 90°, sorted by position:
| 2theta | I/Imax |
| --- | --- |
| 16.01 | 54.2 |
| 28.82 | 76.0 |
| 29.78 | 39.9 |
| 30.13 | 100.0 |
| 32.35 | 27.8 |
| 34.30 | 98.0 |
| 36.61 | 75.2 |
| 39.13 | 35.4 |
| 50.20 | 58.4 |
| 58.87 | 23.0 |

=====

Sm2ReWN6: computed powder XRD pattern (a wavelength of 1.5418 Å), based on a crystal structure in Alexandria, relaxed with GGA-PBE.

a = 5.5467 Å, b = 5.6272 Å, c = 9.5959 Å
α = 90.00°, β = 125.19°, γ = 90.00°
Fractional positions:
1 Sm 0.2420 0.0436 0.2500
2 Sm 0.2420 0.4564 0.7500
3 Sm 0.7580 0.5436 0.2500
4 Sm 0.7580 0.9564 0.7500
5 Re 0.0000 0.0000 0.5000
6 Re 0.0000 0.5000 0.0000
7 W 0.5000 0.0000 0.0000
8 W 0.5000 0.5000 0.5000
9 N 0.1712 0.2132 0.9606
10 N 0.1712 0.2868 0.4606
11 N 0.2468 0.7109 0.9607
12 N 0.2468 0.7891 0.4607
13 N 0.3214 0.0122 0.7483
14 N 0.3214 0.4878 0.2483
15 N 0.6786 0.5122 0.7517
16 N 0.6786 0.9878 0.2517
17 N 0.7532 0.2109 0.5393
18 N 0.7532 0.2891 0.0393
19 N 0.8288 0.7132 0.5394
20 N 0.8288 0.7868 0.0394

Principal peaks in the range 2θ from 15° to 90°, sorted by position:
| 2theta | I/Imax |
| --- | --- |
| 31.80 | 23.6 |
| 32.16 | 100.0 |
| 32.28 | 25.2 |
| 45.95 | 21.7 |
| 46.31 | 12.0 |
| 56.89 | 15.8 |
| 57.27 | 9.7 |
| 57.49 | 26.4 |
| 76.28 | 6.6 |
| 76.82 | 8.6 |

=====

SrReN2: computed powder XRD pattern (a wavelength of 1.5418 Å), based on a crystal structure in Alexandria, relaxed with GGA-PBE.

a = 6.9158 Å, b = 6.9158 Å, c = 7.4080 Å
α = 90.00°, β = 90.00°, γ = 136.41°
Fractional positions:
1 Sr 0.1652 0.8348 0.9111
2 Sr 0.3348 0.6652 0.4111
3 Sr 0.6652 0.3348 0.5889
4 Sr 0.8348 0.1652 0.0889
5 Re 0.0702 0.9298 0.3433
6 Re 0.4298 0.5702 0.8433
7 Re 0.5702 0.4298 0.1567
8 Re 0.9298 0.0702 0.6567
9 N 0.0769 0.4231 0.7500
10 N 0.0900 0.9100 0.5958
11 N 0.4100 0.5900 0.0958
12 N 0.4231 0.0769 0.2500
13 N 0.5769 0.9231 0.7500
14 N 0.5900 0.4100 0.9042
15 N 0.9100 0.0900 0.4042
16 N 0.9231 0.5769 0.2500

Principal peaks in the range 2θ from 15° to 90°, sorted by position:
| 2theta | I/Imax |
| --- | --- |
| 18.28 | 64.2 |
| 22.17 | 50.9 |
| 29.72 | 58.5 |
| 30.34 | 82.4 |
| 30.56 | 100.0 |
| 34.94 | 72.6 |
| 36.54 | 82.5 |
| 41.16 | 92.3 |
| 46.94 | 65.9 |
| 54.55 | 39.0 |

=====

SrReN3: computed powder XRD pattern (a wavelength of 1.5418 Å), based on a crystal structure in Alexandria, relaxed with GGA-PBE.

a = 5.0883 Å, b = 5.5146 Å, c = 6.1000 Å
α = 100.39°, β = 92.28°, γ = 90.74°
Fractional positions:
1 Sr 0.0000 0.0000 0.0000
2 Sr 0.4944 0.5045 0.0151
3 Re 0.0662 0.6331 0.4734
4 Re 0.4604 0.9264 0.5489
5 N 0.0306 0.5298 0.7333
6 N 0.2253 0.3246 0.3103
7 N 0.3288 0.1449 0.3820
8 N 0.5064 0.9983 0.8523
9 N 0.7544 0.7713 0.3809
10 N 0.9865 0.4848 0.9220

Principal peaks in the range 2θ from 15° to 90°, sorted by position:
| 2theta | I/Imax |
| --- | --- |
| 16.35 | 67.8 |
| 19.99 | 72.2 |
| 26.45 | 45.9 |
| 26.85 | 94.2 |
| 29.27 | 100.0 |
| 29.81 | 82.3 |
| 30.44 | 67.9 |
| 35.32 | 51.1 |
| 38.21 | 40.6 |
| 55.68 | 30.7 |

=====

Sr4ReN4: computed powder XRD pattern (a wavelength of 1.5418 Å), based on a crystal structure in Alexandria, relaxed with GGA-PBE.

a = 6.8851 Å, b = 6.8851 Å, c = 8.7452 Å
α = 90.00°, β = 90.00°, γ = 90.00°
Fractional positions:
1 Sr 0.0099 0.2500 0.0750
2 Sr 0.2500 0.0099 0.5750
3 Sr 0.2500 0.4901 0.5750
4 Sr 0.4901 0.2500 0.0750
5 Sr 0.5099 0.7500 0.9250
6 Sr 0.7500 0.5099 0.4250
7 Sr 0.7500 0.9901 0.4250
8 Sr 0.9901 0.7500 0.9250
9 Re 0.2500 0.7500 0.2500
10 Re 0.7500 0.2500 0.7500
11 N 0.0381 0.7500 0.3826
12 N 0.2500 0.5381 0.1174
13 N 0.2500 0.9619 0.1174
14 N 0.4619 0.7500 0.3826
15 N 0.5381 0.2500 0.6174
16 N 0.7500 0.0381 0.8826
17 N 0.7500 0.4619 0.8826
18 N 0.9619 0.2500 0.6174

Principal peaks in the range 2θ from 15° to 90°, sorted by position:
| 2theta | I/Imax |
| --- | --- |
| 16.39 | 62.1 |
| 18.22 | 42.3 |
| 24.11 | 43.9 |
| 27.42 | 39.0 |
| 27.85 | 74.4 |
| 30.79 | 100.0 |
| 33.38 | 63.3 |
| 35.66 | 27.6 |
| 42.50 | 49.2 |
| 50.62 | 28.1 |